# 1
Diffraction record for Mg4Si3. The powder diffractogram is computed, not measured: it uses a cell relaxed with GGA-PBE and CuKα.

Largest 12 diffraction maxima, in order of rising 2θ, 2θ = 15–90°:
2theta  intensity  index
30.1  47.9  2 0 -1
33.6  64.9  2 0 -2
35.4  40.9  1 1 1
37.3  100.0  0 3 -1
38.4  34.2  0 2 1
38.6  38.7  0 2 -3
38.8  31.9  2 -2 0
39.0  29.9  2 2 -2
39.2  40.7  0 1 2
39.3  37.3  0 1 -3
39.6  66.8  2 1 0
42.7  35.4  2 0 1

Atomic structure:
```
data_Mg4Si3
_cell_length_a 5.942
_cell_length_b 7.376
_cell_length_c 7.654
_cell_angle_alpha 118.46
_cell_angle_beta 112.62
_cell_angle_gamma 90.23
_symmetry_space_group_name_H-M 'P 1'
_symmetry_Int_Tables_number 1
_symmetry_space_group_name_Hall 'P 1'
loop_
_atom_site_label
_atom_site_type_symbol
_atom_site_fract_x
_atom_site_fract_y
_atom_site_fract_z
Mg1 Mg 0.000 0.000 0.000
Mg2 Mg 0.033 0.940 0.555
Mg3 Mg 0.125 0.540 0.742
Mg4 Mg 0.184 0.493 0.348
Mg5 Mg 0.500 0.327 0.993
Mg6 Mg 0.546 0.956 0.584
Mg7 Mg 0.640 0.553 0.774
Mg8 Mg 0.677 0.184 0.351
Si1 Si 0.121 0.722 0.152
Si2 Si 0.235 0.193 0.458
Si3 Si 0.449 0.914 0.895
Si4 Si 0.541 0.759 0.155
Si5 Si 0.725 0.592 0.450
Si6 Si 0.953 0.311 0.892
```

***

# 2
Diffraction record for Mg4Si7. The powder diffractogram is computed, not measured: it uses a cell relaxed with GGA-PBE and CuKα.

Largest 12 diffraction maxima, in order of rising 2θ, 2θ = 15–90°:
2theta  intensity  index
34.7  36.5  2 0 -4
34.9  80.6  2 1 1
36.0  77.5  1 1 -4
37.0  100.0  1 1 4
38.5  33.3  2 1 -3
39.2  18.5  0 1 5
40.8  25.9  3 0 2
44.8  19.0  0 1 6
46.6  66.3  0 2 0
51.5  26.4  3 0 5
59.3  22.6  2 2 -4
71.9  19.3  3 2 5

Atomic structure:
```
data_Mg4Si7
_cell_length_a 7.132
_cell_length_b 3.902
_cell_length_c 14.223
_cell_angle_alpha 90.00
_cell_angle_beta 93.18
_cell_angle_gamma 90.00
_symmetry_space_group_name_H-M 'P 1 m 1'
_symmetry_Int_Tables_number 6
_symmetry_space_group_name_Hall 'P -2y'
loop_
_atom_site_label
_atom_site_type_symbol
_atom_site_fract_x
_atom_site_fract_y
_atom_site_fract_z
Mg1 Mg 0.000 0.000 0.000
Mg2 Mg 0.015 0.500 0.573
Mg3 Mg 0.223 0.500 0.160
Mg4 Mg 0.398 0.500 0.755
Mg5 Mg 0.427 0.000 0.316
Mg6 Mg 0.447 0.500 0.500
Mg7 Mg 0.543 0.000 0.083
Mg8 Mg 0.913 0.000 0.240
Si1 Si 0.057 0.000 0.745
Si2 Si 0.078 0.500 0.856
Si3 Si 0.118 0.500 0.354
Si4 Si 0.157 0.000 0.455
Si5 Si 0.281 0.000 0.619
Si6 Si 0.332 0.500 0.972
Si7 Si 0.530 0.000 0.891
Si8 Si 0.610 0.500 0.222
Si9 Si 0.624 0.000 0.633
Si10 Si 0.745 0.500 0.879
Si11 Si 0.758 0.500 0.379
Si12 Si 0.768 0.000 0.480
Si13 Si 0.778 0.500 0.708
Si14 Si 0.839 0.500 0.104
```

***

# 3
Diffraction record for Mg5Si6. The powder diffractogram is computed, not measured: it uses a cell relaxed with GGA-PBE and CuKα.

Largest 12 diffraction maxima, in order of rising 2θ, 2θ = 15–90°:
2theta  intensity  index
32.2  32.5  -1 1 3
32.6  81.2  1 2 0
35.3  66.3  -1 2 2
36.0  42.6  1 1 -4
36.1  100.0  1 -1 4
36.5  63.6  1 -2 3
37.2  52.0  1 2 -3
37.6  68.5  -1 1 4
40.9  36.0  1 2 3
41.5  35.6  1 -3 1
41.7  87.0  2 0 0
44.0  39.6  0 3 -4

Atomic structure:
```
data_Mg5Si6
_cell_length_a 4.336
_cell_length_b 7.408
_cell_length_c 12.812
_cell_angle_alpha 96.49
_cell_angle_beta 91.01
_cell_angle_gamma 92.37
_symmetry_space_group_name_H-M 'P 1'
_symmetry_Int_Tables_number 1
_symmetry_space_group_name_Hall 'P 1'
loop_
_atom_site_label
_atom_site_type_symbol
_atom_site_fract_x
_atom_site_fract_y
_atom_site_fract_z
Mg1 Mg 0.000 0.000 0.000
Mg2 Mg 0.000 0.052 0.557
Mg3 Mg 0.474 0.880 0.383
Mg4 Mg 0.488 0.718 0.585
Mg5 Mg 0.514 0.343 0.694
Mg6 Mg 0.517 0.333 0.971
Mg7 Mg 0.518 0.718 0.862
Mg8 Mg 0.524 0.135 0.189
Mg9 Mg 0.535 0.317 0.438
Mg10 Mg 0.589 0.567 0.221
Si1 Si 0.013 0.614 0.017
Si2 Si 0.016 0.345 0.109
Si3 Si 0.032 0.849 0.200
Si4 Si 0.035 0.437 0.565
Si5 Si 0.050 0.434 0.846
Si6 Si 0.092 0.390 0.296
Si7 Si 0.245 0.958 0.745
Si8 Si 0.506 0.795 0.076
Si9 Si 0.797 0.115 0.812
Si10 Si 0.968 0.646 0.720
Si11 Si 0.970 0.644 0.426
Si12 Si 0.992 0.093 0.344
```

***

# 4
Diffraction record for Mg4Si7. The powder diffractogram is computed, not measured: it uses a cell relaxed with GGA-PBE and CuKα.

Largest 12 diffraction maxima, in order of rising 2θ, 2θ = 15–90°:
2theta  intensity  index
35.0  26.2  1 1 -4
35.3  64.1  1 -1 4
35.5  82.2  -1 1 4
35.6  52.3  1 2 1
35.9  29.9  0 2 -4
37.4  41.6  1 -2 3
38.4  32.5  1 2 -3
38.7  30.0  0 2 4
39.5  32.4  1 0 5
39.8  25.8  0 3 0
40.9  30.2  0 3 1
41.3  100.0  2 0 0

Atomic structure:
```
data_Mg4Si7
_cell_length_a 4.379
_cell_length_b 6.824
_cell_length_c 13.718
_cell_angle_alpha 94.13
_cell_angle_beta 91.95
_cell_angle_gamma 93.38
_symmetry_space_group_name_H-M 'P 1'
_symmetry_Int_Tables_number 1
_symmetry_space_group_name_Hall 'P 1'
loop_
_atom_site_label
_atom_site_type_symbol
_atom_site_fract_x
_atom_site_fract_y
_atom_site_fract_z
Mg1 Mg 0.000 0.000 0.000
Mg2 Mg 0.000 0.031 0.728
Mg3 Mg 0.017 0.631 0.834
Mg4 Mg 0.019 0.631 0.578
Mg5 Mg 0.428 0.102 0.321
Mg6 Mg 0.463 0.578 0.270
Mg7 Mg 0.536 0.345 0.678
Mg8 Mg 0.979 0.143 0.506
Si1 Si 0.341 0.380 0.953
Si2 Si 0.416 0.259 0.114
Si3 Si 0.459 0.947 0.858
Si4 Si 0.466 0.905 0.135
Si5 Si 0.474 0.971 0.601
Si6 Si 0.492 0.418 0.468
Si7 Si 0.510 0.779 0.452
Si8 Si 0.533 0.720 0.983
Si9 Si 0.538 0.729 0.717
Si10 Si 0.781 0.266 0.874
Si11 Si 0.936 0.389 0.178
Si12 Si 0.958 0.408 0.361
Si13 Si 0.969 0.763 0.191
Si14 Si 0.998 0.788 0.370
```

***

# 5
Diffraction record for Mg4Si7. The powder diffractogram is computed, not measured: it uses a cell relaxed with GGA-PBE and CuKα.

Largest 12 diffraction maxima, in order of rising 2θ, 2θ = 15–90°:
2theta  intensity  index
35.5  44.0  2 1 1
35.6  100.0  1 1 -4
36.7  89.2  1 1 4
37.4  31.3  2 1 2
38.6  70.1  0 1 5
38.7  47.2  2 1 -3
40.0  37.5  3 0 1
40.4  24.2  3 0 -2
46.6  76.7  0 2 0
48.0  20.6  2 1 5
50.0  27.7  0 0 8
63.1  21.2  3 2 1

Atomic structure:
```
data_Mg4Si7
_cell_length_a 6.926
_cell_length_b 3.895
_cell_length_c 14.609
_cell_angle_alpha 90.00
_cell_angle_beta 93.26
_cell_angle_gamma 90.00
_symmetry_space_group_name_H-M 'P 1 m 1'
_symmetry_Int_Tables_number 6
_symmetry_space_group_name_Hall 'P -2y'
loop_
_atom_site_label
_atom_site_type_symbol
_atom_site_fract_x
_atom_site_fract_y
_atom_site_fract_z
Mg1 Mg 0.000 0.000 0.000
Mg2 Mg 0.020 0.500 0.167
Mg3 Mg 0.050 0.500 0.403
Mg4 Mg 0.254 0.000 0.569
Mg5 Mg 0.447 0.500 0.726
Mg6 Mg 0.475 0.000 0.906
Mg7 Mg 0.558 0.500 0.494
Mg8 Mg 0.951 0.500 0.648
Si1 Si 0.157 0.500 0.872
Si2 Si 0.159 0.000 0.764
Si3 Si 0.314 0.500 0.027
Si4 Si 0.327 0.000 0.139
Si5 Si 0.346 0.000 0.382
Si6 Si 0.355 0.500 0.273
Si7 Si 0.636 0.000 0.628
Si8 Si 0.677 0.500 0.028
Si9 Si 0.693 0.000 0.135
Si10 Si 0.703 0.000 0.369
Si11 Si 0.712 0.500 0.270
Si12 Si 0.795 0.500 0.875
Si13 Si 0.796 0.000 0.777
Si14 Si 0.876 0.000 0.515
```

***

# 6
Diffraction record for Mg4Si3. The powder diffractogram is computed, not measured: it uses a cell relaxed with GGA-PBE and CuKα.

Largest 12 diffraction maxima, in order of rising 2θ, 2θ = 15–90°:
2theta  intensity  index
33.7  18.2  2 0 -1
36.9  23.5  1 -2 1
37.6  44.5  1 1 2
38.0  19.4  0 1 3
38.9  51.8  -1 2 1
39.0  35.7  1 2 -2
39.3  24.4  2 1 -2
39.7  28.6  1 0 -4
39.8  44.1  2 -1 1
40.0  100.0  0 1 -4
43.8  19.9  0 2 2
68.1  23.3  2 2 -6

Atomic structure:
```
data_Mg4Si3
_cell_length_a 5.328
_cell_length_b 5.422
_cell_length_c 9.460
_cell_angle_alpha 102.27
_cell_angle_beta 103.69
_cell_angle_gamma 93.40
_symmetry_space_group_name_H-M 'P -1'
_symmetry_Int_Tables_number 2
_symmetry_space_group_name_Hall '-P 1'
loop_
_atom_site_label
_atom_site_type_symbol
_atom_site_fract_x
_atom_site_fract_y
_atom_site_fract_z
Mg1 Mg 0.022 0.293 0.095
Mg2 Mg 0.139 0.166 0.789
Mg3 Mg 0.264 0.142 0.488
Mg4 Mg 0.393 0.662 0.708
Si1 Si 0.146 0.585 0.401
Si2 Si 0.362 0.813 0.224
Si3 Si 0.500 0.000 0.000
Si4 Si 0.500 0.500 0.000
```

***

# 7
Diffraction record for Mg4Si7. The powder diffractogram is computed, not measured: it uses a cell relaxed with GGA-PBE and CuKα.

Largest 12 diffraction maxima, in order of rising 2θ, 2θ = 15–90°:
2theta  intensity  index
21.7  25.7  1 0 -1
33.4  23.5  1 1 -3
33.8  37.6  -1 2 1
34.0  87.6  1 1 4
34.2  58.8  1 -2 0
35.9  33.1  1 2 -1
36.6  21.6  1 2 3
38.0  30.0  0 1 -5
38.2  46.2  1 1 -4
38.9  57.3  1 0 -5
42.0  100.0  2 0 0
44.0  25.7  0 3 4

Atomic structure:
```
data_Mg4Si7
_cell_length_a 4.299
_cell_length_b 6.754
_cell_length_c 14.024
_cell_angle_alpha 78.04
_cell_angle_beta 89.99
_cell_angle_gamma 89.93
_symmetry_space_group_name_H-M 'P 1'
_symmetry_Int_Tables_number 1
_symmetry_space_group_name_Hall 'P 1'
loop_
_atom_site_label
_atom_site_type_symbol
_atom_site_fract_x
_atom_site_fract_y
_atom_site_fract_z
Mg1 Mg 0.000 0.000 0.000
Mg2 Mg 0.000 0.069 0.232
Mg3 Mg 0.000 0.539 0.305
Mg4 Mg 0.001 0.514 0.067
Mg5 Mg 0.499 0.785 0.160
Mg6 Mg 0.500 0.432 0.494
Mg7 Mg 0.501 0.361 0.720
Mg8 Mg 0.501 0.900 0.593
Si1 Si 0.000 0.577 0.604
Si2 Si 0.001 0.157 0.446
Si3 Si 0.001 0.203 0.614
Si4 Si 0.002 0.793 0.448
Si5 Si 0.003 0.099 0.793
Si6 Si 0.003 0.409 0.854
Si7 Si 0.003 0.737 0.742
Si8 Si 0.500 0.180 0.089
Si9 Si 0.501 0.162 0.362
Si10 Si 0.501 0.385 0.207
Si11 Si 0.501 0.749 0.969
Si12 Si 0.502 0.803 0.356
Si13 Si 0.503 0.417 0.937
Si14 Si 0.504 0.906 0.799
```

***

# 8
Diffraction record for Mg3Si4. The powder diffractogram is computed, not measured: it uses a cell relaxed with GGA-PBE and CuKα.

Largest 12 diffraction maxima, in order of rising 2θ, 2θ = 15–90°:
2theta  intensity  index
28.2  82.6  1 1 1
31.2  42.0  0 1 2
32.2  84.1  2 1 0
32.7  46.7  3 0 0
33.6  63.6  1 1 2
37.3  64.2  2 1 -2
39.7  100.0  1 1 -3
41.0  80.5  1 1 3
41.3  51.8  3 1 -1
43.3  27.9  3 0 -3
47.0  57.3  3 0 3
48.2  80.5  0 2 0

Atomic structure:
```
data_Mg3Si4
_cell_length_a 8.244
_cell_length_b 3.779
_cell_length_c 8.856
_cell_angle_alpha 90.00
_cell_angle_beta 94.45
_cell_angle_gamma 90.00
_symmetry_space_group_name_H-M 'P 1 m 1'
_symmetry_Int_Tables_number 6
_symmetry_space_group_name_Hall 'P -2y'
loop_
_atom_site_label
_atom_site_type_symbol
_atom_site_fract_x
_atom_site_fract_y
_atom_site_fract_z
Mg1 Mg 0.000 0.000 0.000
Mg2 Mg 0.020 0.000 0.663
Mg3 Mg 0.268 0.000 0.410
Mg4 Mg 0.409 0.000 0.869
Mg5 Mg 0.668 0.500 0.389
Mg6 Mg 0.693 0.500 0.047
Si1 Si 0.013 0.500 0.225
Si2 Si 0.167 0.500 0.854
Si3 Si 0.295 0.500 0.118
Si4 Si 0.322 0.500 0.638
Si5 Si 0.479 0.000 0.190
Si6 Si 0.614 0.500 0.684
Si7 Si 0.734 0.000 0.809
Si8 Si 0.932 0.000 0.366
```

***

# 9
Diffraction record for Mg5Si6. The powder diffractogram is computed, not measured: it uses a cell relaxed with GGA-PBE and CuKα.

Largest 12 diffraction maxima, in order of rising 2θ, 2θ = 15–90°:
2theta  intensity  index
33.0  100.0  1 1 -3
33.8  32.8  1 2 2
35.1  38.5  -1 1 4
35.9  87.0  -1 2 2
36.7  31.2  1 -1 4
37.2  48.8  1 0 5
37.6  37.5  1 1 5
38.2  51.6  1 -2 2
38.5  31.7  0 1 6
42.1  54.2  0 3 3
42.3  45.1  2 0 0
42.5  43.1  2 0 1

Atomic structure:
```
data_Mg5Si6
_cell_length_a 4.282
_cell_length_b 6.766
_cell_length_c 14.325
_cell_angle_alpha 80.59
_cell_angle_beta 86.58
_cell_angle_gamma 87.43
_symmetry_space_group_name_H-M 'P -1'
_symmetry_Int_Tables_number 2
_symmetry_space_group_name_Hall '-P 1'
loop_
_atom_site_label
_atom_site_type_symbol
_atom_site_fract_x
_atom_site_fract_y
_atom_site_fract_z
Mg1 Mg 0.111 0.209 0.391
Mg2 Mg 0.190 0.775 0.326
Mg3 Mg 0.193 0.451 0.166
Mg4 Mg 0.232 0.970 0.094
Mg5 Mg 0.317 0.888 0.760
Si1 Si 0.248 0.717 0.950
Si2 Si 0.266 0.348 0.962
Si3 Si 0.274 0.430 0.542
Si4 Si 0.279 0.254 0.809
Si5 Si 0.372 0.066 0.569
Si6 Si 0.377 0.539 0.690
```

***

# 10
Diffraction record for Mg4Si3. The powder diffractogram is computed, not measured: it uses a cell relaxed with GGA-PBE and CuKα.

Largest 12 diffraction maxima, in order of rising 2θ, 2θ = 15–90°:
2theta  intensity  index
32.8  45.0  0 2 2
35.2  48.5  -1 2 1
35.8  40.3  1 -1 2
37.3  100.0  0 1 3
37.5  29.1  2 0 -1
37.7  72.8  0 2 -2
38.2  75.0  1 3 0
38.9  34.0  1 2 -2
39.7  27.4  2 2 1
40.8  30.1  1 0 -3
41.3  30.0  1 0 3
43.3  46.9  2 -1 1

Atomic structure:
```
data_Mg4Si3
_cell_length_a 5.191
_cell_length_b 7.334
_cell_length_c 7.395
_cell_angle_alpha 82.26
_cell_angle_beta 89.01
_cell_angle_gamma 76.34
_symmetry_space_group_name_H-M 'P 1'
_symmetry_Int_Tables_number 1
_symmetry_space_group_name_Hall 'P 1'
loop_
_atom_site_label
_atom_site_type_symbol
_atom_site_fract_x
_atom_site_fract_y
_atom_site_fract_z
Mg1 Mg 0.000 0.000 0.000
Mg2 Mg 0.072 0.654 0.712
Mg3 Mg 0.186 0.302 0.438
Mg4 Mg 0.434 0.258 0.891
Mg5 Mg 0.529 0.930 0.238
Mg6 Mg 0.610 0.550 0.483
Mg7 Mg 0.800 0.062 0.567
Mg8 Mg 0.900 0.515 0.063
Si1 Si 0.063 0.732 0.318
Si2 Si 0.352 0.902 0.586
Si3 Si 0.365 0.604 0.084
Si4 Si 0.572 0.851 0.883
Si5 Si 0.630 0.286 0.237
Si6 Si 0.919 0.326 0.763
```

***

# 11
Diffraction record for Mg3Si4. The powder diffractogram is computed, not measured: it uses a cell relaxed with GGA-PBE and CuKα.

Largest 12 diffraction maxima, in order of rising 2θ, 2θ = 15–90°:
2theta  intensity  index
33.4  47.2  2 0 0
33.5  67.4  2 1 1
34.8  59.1  1 2 -1
34.9  44.2  1 1 -2
35.1  100.0  0 1 -2
35.3  63.5  2 2 1
36.0  70.6  0 1 3
36.5  50.4  0 2 -1
38.8  86.7  1 3 2
39.6  87.8  -2 1 1
39.8  55.5  0 0 3
40.1  61.5  0 3 2

Atomic structure:
```
data_Mg3Si4
_cell_length_a 5.732
_cell_length_b 7.278
_cell_length_c 7.497
_cell_angle_alpha 66.03
_cell_angle_beta 89.41
_cell_angle_gamma 71.07
_symmetry_space_group_name_H-M 'P 1'
_symmetry_Int_Tables_number 1
_symmetry_space_group_name_Hall 'P 1'
loop_
_atom_site_label
_atom_site_type_symbol
_atom_site_fract_x
_atom_site_fract_y
_atom_site_fract_z
Mg1 Mg 0.000 0.000 0.000
Mg2 Mg 0.006 0.690 0.460
Mg3 Mg 0.048 0.232 0.564
Mg4 Mg 0.309 0.491 0.194
Mg5 Mg 0.559 0.881 0.113
Mg6 Mg 0.688 0.501 0.904
Si1 Si 0.130 0.752 0.796
Si2 Si 0.174 0.367 0.868
Si3 Si 0.176 0.153 0.237
Si4 Si 0.403 0.843 0.549
Si5 Si 0.554 0.238 0.751
Si6 Si 0.568 0.546 0.468
Si7 Si 0.707 0.977 0.622
Si8 Si 0.756 0.137 0.273
```